# 1
The following is a computed PXRD pattern of Ce2TiPd9. It was derived from a DFT-relaxed cell (GGA-PBE, Alexandria), using CuKα.
Lines closer than 0.1° are merged.

Atomic structure:
```
data_Ce2TiPd9
_cell_length_a 4.0941
_cell_length_b 4.0941
_cell_length_c 12.2074
_cell_angle_alpha 90.00
_cell_angle_beta 90.00
_cell_angle_gamma 90.00
_symmetry_space_group_name_H-M 'P 4/m m m'
_symmetry_Int_Tables_number 123
_symmetry_space_group_name_Hall '-P 4 2'
loop_
_atom_site_label
_atom_site_type_symbol
_atom_site_fract_x
_atom_site_fract_y
_atom_site_fract_z
_atom_site_occupancy
Ce1 Ce 0.0000 0.0000 0.1728 1
Ti1 Ti 0.0000 0.0000 0.5000 1
Pd1 Pd 0.0000 0.5000 0.0000 1
Pd2 Pd 0.0000 0.5000 0.3476 1
Pd3 Pd 0.5000 0.5000 0.1741 1
Pd4 Pd 0.5000 0.5000 0.5000 1
```

Largest 10 diffraction maxima, sorted by position, 10° ≤ 2θ ≤ 90°:
| Position (°2θ) | I_rel |
| --- | --- |
| 34.3 | 3.2 |
| 38.2 | 100.0 |
| 44.2 | 33.7 |
| 44.5 | 14.6 |
| 64.4 | 10.8 |
| 64.6 | 18.9 |
| 69.7 | 2.8 |
| 77.3 | 24.3 |
| 77.8 | 9.4 |
| 81.6 | 9.7 |

# 2
The following is a computed PXRD pattern of CeCd3In3. It was derived from a DFT-relaxed cell (GGA-PBE, Alexandria), using CuKα.
Lines closer than 0.1° are merged.

Atomic structure:
```
data_CeCd3In3
_cell_length_a 7.8276
_cell_length_b 7.8276
_cell_length_c 7.8276
_cell_angle_alpha 90.00
_cell_angle_beta 90.00
_cell_angle_gamma 90.00
_symmetry_space_group_name_H-M 'P m -3 n'
_symmetry_Int_Tables_number 223
_symmetry_space_group_name_Hall '-P 4n 2 3'
loop_
_atom_site_label
_atom_site_type_symbol
_atom_site_fract_x
_atom_site_fract_y
_atom_site_fract_z
_atom_site_occupancy
Ce1 Ce 0.0000 0.0000 0.0000 1
Cd1 Cd 0.0000 0.2500 0.5000 1
In1 In 0.0000 0.5000 0.2500 1
```

Largest 10 diffraction maxima, sorted by position, 10° ≤ 2θ ≤ 90°:
| Position (°2θ) | I_rel |
| --- | --- |
| 22.7 | 41.8 |
| 27.9 | 100.0 |
| 39.9 | 28.5 |
| 43.2 | 60.4 |
| 46.4 | 30.9 |
| 52.3 | 17.1 |
| 55.0 | 14.6 |
| 65.3 | 17.2 |
| 67.7 | 19.2 |
| 74.8 | 17.3 |

# 3
The following is a computed PXRD pattern of Dy12InCu5. It was derived from a DFT-relaxed cell (GGA-PBE, Alexandria), using CuKα.
Lines closer than 0.1° are merged.

Atomic structure:
```
data_Dy12InCu5
_cell_length_a 9.4263
_cell_length_b 9.6344
_cell_length_c 10.1577
_cell_angle_alpha 90.00
_cell_angle_beta 90.00
_cell_angle_gamma 90.00
_symmetry_space_group_name_H-M 'I m m m'
_symmetry_Int_Tables_number 71
_symmetry_space_group_name_Hall '-I 2 2'
loop_
_atom_site_label
_atom_site_type_symbol
_atom_site_fract_x
_atom_site_fract_y
_atom_site_fract_z
_atom_site_occupancy
Dy1 Dy 0.0000 0.1902 0.2308 1
Dy2 Dy 0.1967 0.5000 0.1787 1
Dy3 Dy 0.2205 0.3197 0.5000 1
In1 In 0.0000 0.0000 0.5000 1
Cu1 Cu 0.0000 0.0000 0.0000 1
Cu2 Cu 0.0000 0.3554 0.0000 1
Cu3 Cu 0.0000 0.5000 0.3795 1
```

Largest 10 diffraction maxima, sorted by position, 10° ≤ 2θ ≤ 90°:
| Position (°2θ) | I_rel |
| --- | --- |
| 28.0 | 19.7 |
| 29.2 | 22.6 |
| 29.9 | 26.7 |
| 31.9 | 100.0 |
| 33.9 | 54.4 |
| 34.4 | 59.1 |
| 34.9 | 42.4 |
| 35.2 | 21.2 |
| 38.2 | 26.6 |
| 59.7 | 29.9 |